(1)
Starting from a cell relaxed with GGA-PBE, the powder XRD pattern of SrPt6 was simulated for CuKα.
Kinematic intensities with the Lorentz-polarization factor, no thermal factor.

Structure:
```
data_SrPt6
_cell_length_a 7.079
_cell_length_b 7.079
_cell_length_c 7.079
_cell_angle_alpha 90.00
_cell_angle_beta 90.00
_cell_angle_gamma 90.00
_space_group_name_H-M_alt 'I m -3 m'
_space_group_IT_number 229
_space_group_name_Hall '-I 4 2 3'
loop_
_atom_site_label
_atom_site_type_symbol
_atom_site_fract_x
_atom_site_fract_y
_atom_site_fract_z
Sr1 Sr 0.000 0.000 0.000
Pt1 Pt 0.000 0.250 0.500
```

Largest 8 diffraction maxima, in order of rising 2θ, 5° ≤ 2θ ≤ 70°:
2θ 17.72, I 741, (1 1 0); 2θ 25.16, I 421, (2 0 0); 2θ 30.94, I 1000, (2 1 1); 2θ 40.29, I 193, (3 1 0); 2θ 44.33, I 639, (2 2 2); 2θ 48.10, I 595, (3 2 1); 2θ 51.65, I 418, (4 0 0); 2θ 58.29, I 169, (4 2 0)

(2)
Starting from a cell relaxed with GGA-PBE, the powder XRD pattern of Ba4Ir2Au was simulated for CuKα.
Kinematic intensities with the Lorentz-polarization factor, no thermal factor.

Structure:
```
data_Ba4Ir2Au
_cell_length_a 9.009
_cell_length_b 10.061
_cell_length_c 14.102
_cell_angle_alpha 90.00
_cell_angle_beta 90.00
_cell_angle_gamma 90.00
_space_group_name_H-M_alt 'I m m a'
_space_group_IT_number 74
_space_group_name_Hall '-I 2b 2'
loop_
_atom_site_label
_atom_site_type_symbol
_atom_site_fract_x
_atom_site_fract_y
_atom_site_fract_z
Ba1 Ba 0.000 0.019 0.234
Ba2 Ba 0.247 0.250 0.973
Ir1 Ir 0.000 0.250 0.682
Ir2 Ir 0.250 0.250 0.750
Au1 Au 0.000 0.000 0.000
```

Largest 8 diffraction maxima, in order of rising 2θ, 5° ≤ 2θ ≤ 70°:
2θ 10.80, I 1000, (0 1 1); 2θ 21.19, I 281, (1 2 1); 2θ 25.26, I 342, (0 0 4); 2θ 26.56, I 480, (2 2 0); 2θ 27.34, I 211, (0 3 1); 2θ 35.70, I 248, (0 4 0); 2θ 36.98, I 571, (2 2 4); 2θ 40.03, I 190, (4 0 0)